(1)
This entry pairs a crystal structure of GdDy2I with its theoretical X-ray diffraction stick pattern. Radiation: Cu Kα X-rays. Structure: a PBE-relaxed structure.

Cell and atoms:
a b c (Å): 10.7056 10.7056 10.7056
angles (deg): 20.11 20.11 20.11
Fractional coordinates of all 4 atoms:
Gd 0.0000 0.0000 0.0000
Dy 0.2452 0.2452 0.2452
Dy 0.7548 0.7548 0.7548
I 0.5000 0.5000 0.5000

Peak list (10 most intense, 2θ from 10° to 90°, in order of rising 2θ)
2θ 29.85, rel. 100; 2θ 34.20, rel. 22; 2θ 35.94, rel. 60; 2θ 48.73, rel. 26; 2θ 54.62, rel. 16; 2θ 58.20, rel. 15; 2θ 60.88, rel. 25; 2θ 62.01, rel. 13; 2θ 79.25, rel. 12; 2θ 82.59, rel. 13

***

(2)
This entry pairs a crystal structure of Cr3Ir2Rh3 with its theoretical X-ray diffraction stick pattern. Radiation: Cu Kα X-rays. Structure: a PBE-relaxed structure.

Cell and atoms:
a b c (Å): 8.0709 8.0709 8.0709
angles (deg): 153.08 152.57 38.81
Fractional coordinates of all 8 atoms:
Cr 0.0000 0.0000 0.0000
Cr 0.3722 0.8722 0.5000
Cr 0.6278 0.1278 0.5000
Ir 0.2516 0.2516 0.0000
Ir 0.7484 0.7484 0.0000
Rh 0.1226 0.6226 0.5000
Rh 0.5000 0.5000 0.0000
Rh 0.8774 0.3774 0.5000

Peak list (10 most intense, 2θ from 10° to 90°, in order of rising 2θ)
2θ 11.62, rel. 31; 2θ 41.19, rel. 100; 2θ 47.52, rel. 16; 2θ 47.79, rel. 16; 2θ 48.46, rel. 16; 2θ 70.21, rel. 10; 2θ 84.07, rel. 12; 2θ 84.48, rel. 12; 2θ 85.48, rel. 12; 2θ 89.41, rel. 11

***

(3)
This entry pairs a crystal structure of Tb5Ho12Tm2 with its theoretical X-ray diffraction stick pattern. Radiation: Cu Kα X-rays. Structure: a PBE-relaxed structure.

Cell and atoms:
a b c (Å): 6.4416 8.8058 11.3143
angles (deg): 109.68 93.00 97.93
Fractional coordinates of all 19 atoms:
Tb 0.0000 0.0000 0.0000
Tb 0.1947 0.9875 0.6966
Tb 0.4857 0.6074 0.2810
Tb 0.5143 0.3926 0.7190
Tb 0.8053 0.0125 0.3034
Ho 0.0324 0.7401 0.3699
Ho 0.0532 0.3433 0.2318
Ho 0.2231 0.4011 0.9592
Ho 0.2963 0.8274 0.1395
Ho 0.3366 0.1291 0.4232
Ho 0.4754 0.8017 0.8624
Ho 0.5246 0.1983 0.1376
Ho 0.6634 0.8709 0.5768
Ho 0.7037 0.1726 0.8605
Ho 0.7769 0.5989 0.0408
Ho 0.9468 0.6567 0.7682
Ho 0.9676 0.2599 0.6301
Tm 0.2633 0.5537 0.5389
Tm 0.7367 0.4463 0.4611

Peak list (10 most intense, 2θ from 10° to 90°, in order of rising 2θ)
2θ 29.46, rel. 18; 2θ 31.25, rel. 25; 2θ 31.70, rel. 80; 2θ 32.06, rel. 81; 2θ 32.65, rel. 18; 2θ 32.78, rel. 100; 2θ 33.30, rel. 20; 2θ 33.84, rel. 18; 2θ 35.51, rel. 13; 2θ 46.65, rel. 12

***

(4)
This entry pairs a crystal structure of SrGeF with its theoretical X-ray diffraction stick pattern. Radiation: Cu Kα X-rays. Structure: a PBE-relaxed structure.

Cell and atoms:
a b c (Å): 9.4172 9.4172 9.4172
angles (deg): 25.01 25.01 25.01
Fractional coordinates of all 6 atoms:
Sr 0.0000 0.0000 0.0000
Sr 0.4660 0.4660 0.4660
Ge 0.2173 0.2173 0.2173
Ge 0.5897 0.5897 0.5897
F 0.3709 0.3709 0.3709
F 0.7726 0.7726 0.7726

Peak list (10 most intense, 2θ from 10° to 90°, in order of rising 2θ)
2θ 26.06, rel. 42; 2θ 28.44, rel. 60; 2θ 29.39, rel. 39; 2θ 30.12, rel. 100; 2θ 34.22, rel. 27; 2θ 36.58, rel. 72; 2θ 41.77, rel. 21; 2θ 44.43, rel. 97; 2θ 50.49, rel. 24; 2θ 54.16, rel. 40

***

(5)
This entry pairs a crystal structure of Sm4Sc5Tl6 with its theoretical X-ray diffraction stick pattern. Radiation: Cu Kα X-rays. Structure: a PBE-relaxed structure.

Cell and atoms:
a b c (Å): 11.1386 11.1386 15.5208
angles (deg): 90.00 90.00 154.15
Fractional coordinates of all 30 atoms:
Sm 0.0389 0.9611 0.5000
Sm 0.0389 0.9611 0.7754
Sm 0.1565 0.8435 0.3124
Sm 0.1559 0.8441 0.9636
Sm 0.8441 0.1559 0.4636
Sm 0.8435 0.1565 0.8124
Sm 0.9611 0.0389 0.0000
Sm 0.9611 0.0389 0.2754
Sc 0.1740 0.8260 0.6376
Sc 0.3238 0.6762 0.6382
Sc 0.3302 0.6698 0.9747
Sc 0.3306 0.6694 0.3007
Sc 0.4689 0.5311 0.6376
Sc 0.5311 0.4689 0.1376
Sc 0.6694 0.3306 0.8007
Sc 0.6698 0.3302 0.4747
Sc 0.6762 0.3238 0.1382
Sc 0.8260 0.1740 0.1376
Tl 0.0896 0.9104 0.1382
Tl 0.2482 0.7518 0.4796
Tl 0.2475 0.7525 0.7961
Tl 0.4008 0.5992 0.1376
Tl 0.4365 0.5635 0.4352
Tl 0.4361 0.5639 0.8401
Tl 0.5639 0.4361 0.3401
Tl 0.5635 0.4365 0.9352
Tl 0.5992 0.4008 0.6376
Tl 0.7525 0.2475 0.2961
Tl 0.7518 0.2482 0.9796
Tl 0.9104 0.0896 0.6382

Peak list (10 most intense, 2θ from 10° to 90°, in order of rising 2θ)
2θ 22.41, rel. 19; 2θ 25.15, rel. 14; 2θ 27.85, rel. 26; 2θ 29.46, rel. 16; 2θ 32.36, rel. 100; 2θ 34.68, rel. 25; 2θ 36.04, rel. 50; 2θ 38.35, rel. 18; 2θ 50.88, rel. 18; 2θ 62.50, rel. 15

***

(6)
This entry pairs a crystal structure of BaLiHfBiO6 with its theoretical X-ray diffraction stick pattern. Radiation: Cu Kα X-rays. Structure: a PBE-relaxed structure.

Cell and atoms:
a b c (Å): 5.9186 5.9186 5.9186
angles (deg): 60.00 60.00 60.00
Fractional coordinates of all 10 atoms:
Ba 0.0000 0.0000 0.0000
Li 0.5000 0.5000 0.5000
Hf 0.2500 0.2500 0.2500
Bi 0.7500 0.7500 0.7500
O 0.0029 0.0029 0.4971
O 0.0029 0.4971 0.0029
O 0.0029 0.4971 0.4971
O 0.4971 0.0029 0.0029
O 0.4971 0.0029 0.4971
O 0.4971 0.4971 0.0029

Peak list (10 most intense, 2θ from 10° to 90°, in order of rising 2θ)
2θ 18.36, rel. 16; 2θ 21.23, rel. 40; 2θ 30.20, rel. 100; 2θ 35.57, rel. 9; 2θ 43.24, rel. 30; 2θ 48.65, rel. 18; 2θ 53.64, rel. 42; 2θ 62.80, rel. 19; 2θ 71.25, rel. 19; 2θ 87.14, rel. 23

***

Repeat the third record exactly.
This entry pairs a crystal structure of Tb5Ho12Tm2 with its theoretical X-ray diffraction stick pattern. Radiation: Cu Kα X-rays. Structure: a PBE-relaxed structure.

Cell and atoms:
a b c (Å): 6.4416 8.8058 11.3143
angles (deg): 109.68 93.00 97.93
Fractional coordinates of all 19 atoms:
Tb 0.0000 0.0000 0.0000
Tb 0.1947 0.9875 0.6966
Tb 0.4857 0.6074 0.2810
Tb 0.5143 0.3926 0.7190
Tb 0.8053 0.0125 0.3034
Ho 0.0324 0.7401 0.3699
Ho 0.0532 0.3433 0.2318
Ho 0.2231 0.4011 0.9592
Ho 0.2963 0.8274 0.1395
Ho 0.3366 0.1291 0.4232
Ho 0.4754 0.8017 0.8624
Ho 0.5246 0.1983 0.1376
Ho 0.6634 0.8709 0.5768
Ho 0.7037 0.1726 0.8605
Ho 0.7769 0.5989 0.0408
Ho 0.9468 0.6567 0.7682
Ho 0.9676 0.2599 0.6301
Tm 0.2633 0.5537 0.5389
Tm 0.7367 0.4463 0.4611

Peak list (10 most intense, 2θ from 10° to 90°, in order of rising 2θ)
2θ 29.46, rel. 18; 2θ 31.25, rel. 25; 2θ 31.70, rel. 80; 2θ 32.06, rel. 81; 2θ 32.65, rel. 18; 2θ 32.78, rel. 100; 2θ 33.30, rel. 20; 2θ 33.84, rel. 18; 2θ 35.51, rel. 13; 2θ 46.65, rel. 12